# Rb2TbMg2S4
Theoretical powder XRD pattern, Cu Kα (weighted mean of Kα1 and Kα2). Input: a crystal structure in Alexandria, relaxed with GGA-PBE.
Peak positions follow from Bragg's law for the DFT cell and can differ from measured ones.

Cell lengths 8.038, 8.038, 7.963 Å; angles 107.03, 107.03, 29.51 degrees
Atoms (fractional coordinates):
1 Rb 0.125 0.125 0.035
2 Rb 0.875 0.875 0.965
3 Tb 0.000 0.000 0.500
4 Mg 0.329 0.329 0.522
5 Mg 0.671 0.671 0.478
6 S 0.201 0.201 0.661
7 S 0.478 0.478 0.729
8 S 0.522 0.522 0.271
9 S 0.799 0.799 0.339

The 10 most intense peaks (10 to 90 degrees two-theta), low angle first:
| 2θ/deg | intensity |
| --- | --- |
| 11.95 | 51 |
| 22.53 | 54 |
| 23.32 | 34 |
| 23.44 | 41 |
| 28.49 | 46 |
| 29.88 | 52 |
| 31.36 | 100 |
| 32.81 | 52 |
| 36.39 | 70 |
| 50.42 | 38 |